# 1
Starting from a structure optimized by DFT (PBE), the XRD peak list of Er3BiB2Rh9 was computed for a wavelength of 1.5418 Å.

Top 10 peaks for 10° ≤ 2θ ≤ 90°, in order of falling intensity:
- 40.83 deg, 2.210 Å, intensity 100, hkl 2 0 2
- 36.90 deg, 2.436 Å, intensity 74, hkl 0 2 1
- 46.78 deg, 1.942 Å, intensity 32, hkl 2 0 3
- 39.64 deg, 2.274 Å, intensity 32, hkl 0 0 4
- 63.75 deg, 1.460 Å, intensity 26, hkl 2 2 0
- 77.74 deg, 1.228 Å, intensity 26, hkl 2 2 4
- 26.36 deg, 3.381 Å, intensity 21, hkl 0 1 2
- 72.74 deg, 1.300 Å, intensity 19, hkl 2 0 6
- 62.95 deg, 1.477 Å, intensity 15, hkl 0 2 5
- 17.54 deg, 5.057 Å, intensity 15, hkl 1 0 0

Atomic structure:
Lattice parameters (Å, degrees): 5.8395 5.8395 9.0945 90.00 90.00 120.00
Space group P-3m1 (No. 164)
Asymmetric unit:
Er 0.0000 0.0000 0.0000
Er 0.3333 0.6667 0.7263
Bi 0.0000 0.0000 0.5000
B 0.3333 0.6667 0.1436
Rh 0.0000 0.5000 0.0000
Rh 0.1607 0.3214 0.2592



# 2
Starting from a structure optimized by DFT (PBE), the XRD peak list of BiB2F8 was computed for a wavelength of 1.5418 Å.

Top 10 peaks for 10° ≤ 2θ ≤ 90°, in order of falling intensity:
- 19.97 deg, 4.447 Å, intensity 100, hkl 1 1 0
- 14.05 deg, 6.304 Å, intensity 93, hkl 0 0 1
- 26.37 deg, 3.380 Å, intensity 60, hkl 1 1 1
- 28.31 deg, 3.152 Å, intensity 45, hkl 2 0 1
- 37.64 deg, 2.390 Å, intensity 40, hkl 1 1 2
- 40.74 deg, 2.215 Å, intensity 38, hkl 2 2 -1
- 34.03 deg, 2.635 Å, intensity 35, hkl 3 1 -1
- 20.53 deg, 4.326 Å, intensity 29, hkl 2 0 -1
- 31.97 deg, 2.799 Å, intensity 29, hkl 1 1 -2
- 41.88 deg, 2.157 Å, intensity 25, hkl 3 1 1

Atomic structure:
Lattice parameters (Å, degrees): 9.292 5.157 6.669 90.00 109.07 90.00
Space group C2/m (No. 12)
Asymmetric unit:
Bi 0.000 0.000 0.000
B 0.203 0.000 0.716
F 0.136 0.220 0.788
F 0.137 0.500 0.173
F 0.170 0.000 0.501



# 3
Starting from a structure optimized by DFT (PBE), the XRD peak list of BiBOF4 was computed for a wavelength of 1.5418 Å.

Top 10 peaks for 10° ≤ 2θ ≤ 90°, in order of falling intensity:
- 27.71 deg, 3.220 Å, intensity 100, hkl 2 1 1
- 22.63 deg, 3.929 Å, intensity 35, hkl 1 1 1
- 34.66 deg, 2.588 Å, intensity 30, hkl 3 1 1
- 47.59 deg, 1.911 Å, intensity 24, hkl 4 0 2
- 42.08 deg, 2.147 Å, intensity 20, hkl 0 2 2
- 28.88 deg, 3.091 Å, intensity 18, hkl 0 0 2
- 29.93 deg, 2.986 Å, intensity 18, hkl 0 2 0
- 50.47 deg, 1.808 Å, intensity 17, hkl 2 1 3
- 43.14 deg, 2.097 Å, intensity 15, hkl 1 2 2
- 51.78 deg, 1.766 Å, intensity 15, hkl 2 3 1

Atomic structure:
Lattice parameters (Å, degrees): 9.729 5.972 6.182 90.00 90.00 90.00
Space group Aem2 (No. 39)
Asymmetric unit:
Bi 0.119 0.250 0.000
B 0.330 0.250 0.506
O 0.000 0.000 0.186
F 0.201 0.250 0.368
F 0.310 0.057 0.634
F 0.446 0.250 0.389